1.
Cu2IBr4: calculated powder X-ray diffraction pattern (Cu Kα), based on a structure optimized by DFT (GGA-PBE).
Kinematic intensities with the Lorentz-polarization factor, no thermal factor.

Most intense lines, 5° ≤ 2θ ≤ 70°, sorted by position:
2θ (°), intensity
12.59, 26
15.82, 24
17.41, 25
19.43, 100
22.18, 71
25.63, 52
27.99, 53
30.25, 33
40.46, 27
48.79, 25

Structural model:
```
Cu2IBr4
1.0
7.3917 0.0000 0.0000
-0.8714 7.8183 0.0000
-1.1564 -3.5965 8.6712
Cu I Br
4 2 8
Direct
0.0000 0.0000 0.0000
0.0334 0.5200 0.5870
0.4193 0.9202 0.8790
0.8982 0.9730 0.4384
0.3350 0.3818 0.5079
0.4428 0.5256 0.1379
0.0409 0.7177 0.4475
0.1112 0.0551 0.2790
0.1290 0.7259 0.8734
0.2484 0.1806 0.9166
0.5688 0.6833 0.7164
0.5712 0.8664 0.3428
0.7184 0.1120 0.0022
0.8447 0.2683 0.6086
```


2.
AcEr4Tl5: calculated powder X-ray diffraction pattern (Cu Kα), based on a structure optimized by DFT (GGA-PBE).
Kinematic intensities with the Lorentz-polarization factor, no thermal factor.

Most intense lines, 5° ≤ 2θ ≤ 70°, sorted by position:
2θ (°), intensity
29.73, 6
32.75, 100
33.51, 54
36.13, 7
45.84, 6
48.12, 20
57.96, 13
59.42, 37
62.17, 5
68.63, 8

Structural model:
```
AcEr4Tl5
1.0
3.7821 0.0000 0.0000
0.0000 3.7821 0.0000
0.0000 0.0000 19.7970
Ac Er Tl
1 4 5
Direct
0.0000 0.0000 0.0000
0.0000 0.0000 0.2139
0.0000 0.0000 0.4053
0.0000 0.0000 0.5947
0.0000 0.0000 0.7861
0.5000 0.5000 0.1194
0.5000 0.5000 0.3111
0.5000 0.5000 0.5000
0.5000 0.5000 0.6889
0.5000 0.5000 0.8806
```


3.
Ca5Ta4O15: calculated powder X-ray diffraction pattern (Cu Kα), based on a structure optimized by DFT (GGA-PBE).
Kinematic intensities with the Lorentz-polarization factor, no thermal factor.

Most intense lines, 5° ≤ 2θ ≤ 70°, sorted by position:
2θ (°), intensity
19.78, 54
23.96, 78
29.70, 100
31.79, 85
44.05, 57
51.37, 51
52.13, 18
55.34, 37
56.63, 17
66.41, 17

Structural model:
```
Ca5Ta4O15
1.0
5.6306 0.0000 0.0000
-2.8153 4.8762 0.0000
0.0000 0.0000 11.4666
Ca Ta O
5 4 15
Direct
0.0000 0.0000 0.0000
0.3333 0.6667 0.4561
0.3333 0.6667 0.7604
0.6667 0.3333 0.2396
0.6667 0.3333 0.5439
0.0000 0.0000 0.3174
0.0000 0.0000 0.6826
0.3333 0.6667 0.1043
0.6667 0.3333 0.8957
0.0000 0.5000 0.0000
0.1626 0.3253 0.1939
0.1626 0.8374 0.1939
0.1720 0.3440 0.6064
0.1720 0.8280 0.6064
0.3253 0.1626 0.8061
0.3440 0.1720 0.3936
0.5000 0.0000 0.0000
0.5000 0.5000 0.0000
0.6560 0.8280 0.6064
0.6747 0.8374 0.1939
0.8280 0.1720 0.3936
0.8280 0.6560 0.3936
0.8374 0.1626 0.8061
0.8374 0.6747 0.8061
```


4.
LiB8C8: calculated powder X-ray diffraction pattern (Cu Kα), based on a structure optimized by DFT (GGA-PBE).
Kinematic intensities with the Lorentz-polarization factor, no thermal factor.

Most intense lines, 5° ≤ 2θ ≤ 70°, sorted by position:
2θ (°), intensity
12.71, 68
25.58, 100
25.96, 18
29.00, 19
38.79, 11
39.81, 27
43.11, 6
43.34, 11
45.35, 17
52.18, 7

Structural model:
```
LiB8C8
1.0
2.6296 1.5182 6.9639
-2.6296 1.5182 6.9639
0.0000 -3.0364 6.9639
Li B C
1 8 8
Direct
0.0000 0.0000 0.0000
0.2246 0.7337 0.7337
0.2552 0.2552 0.2552
0.2663 0.2663 0.7754
0.2663 0.7754 0.2663
0.7337 0.2246 0.7337
0.7337 0.7337 0.2246
0.7448 0.7448 0.7448
0.7754 0.2663 0.2663
0.0780 0.0780 0.5779
0.0780 0.5779 0.0780
0.4221 0.9220 0.9220
0.4627 0.4627 0.4627
0.5373 0.5373 0.5373
0.5779 0.0780 0.0780
0.9220 0.4221 0.9220
0.9220 0.9220 0.4221
```


5.
TePb5S4: calculated powder X-ray diffraction pattern (Cu Kα), based on a structure optimized by DFT (GGA-PBE).
Kinematic intensities with the Lorentz-polarization factor, no thermal factor.

Most intense lines, 5° ≤ 2θ ≤ 70°, sorted by position:
2θ (°), intensity
25.20, 100
29.01, 53
29.27, 99
41.70, 94
41.96, 20
49.17, 18
51.66, 18
51.82, 21
68.26, 18
68.66, 22

Structural model:
```
TePb5S4
1.0
-2.1534 3.0778 10.8119
2.1534 -3.0778 10.8119
2.1534 3.0778 -10.8119
Te Pb S
1 5 4
Direct
0.0000 0.0000 0.0000
0.1109 0.6109 0.5000
0.3028 0.8028 0.5000
0.5000 0.0000 0.5000
0.6972 0.1972 0.5000
0.8891 0.3891 0.5000
0.2049 0.2049 0.0000
0.3990 0.3990 0.0000
0.6010 0.6010 0.0000
0.7951 0.7951 0.0000
```


6.
CdSeO4: calculated powder X-ray diffraction pattern (Cu Kα), based on a structure optimized by DFT (GGA-PBE).
Kinematic intensities with the Lorentz-polarization factor, no thermal factor.

Most intense lines, 5° ≤ 2θ ≤ 70°, sorted by position:
2θ (°), intensity
19.49, 61
21.94, 40
22.86, 100
30.24, 91
30.93, 91
32.83, 89
34.71, 38
46.69, 54
56.60, 38
59.91, 49

Structural model:
```
CdSeO4
1.0
9.6343 0.0000 0.0000
0.0000 7.4855 0.0000
0.0000 0.0000 5.1682
Cd Se O
4 4 16
Direct
0.0000 0.0000 0.0000
0.0000 0.5000 0.0000
0.5000 0.0000 0.5000
0.5000 0.5000 0.5000
0.1808 0.2500 0.4890
0.3192 0.7500 0.9890
0.6808 0.2500 0.0110
0.8192 0.7500 0.5110
0.1264 0.2500 0.7995
0.1281 0.0608 0.3518
0.1281 0.4392 0.3518
0.1431 0.7500 0.9707
0.3569 0.2500 0.4707
0.3719 0.5608 0.8518
0.3719 0.9392 0.8518
0.3736 0.7500 0.2995
0.6264 0.2500 0.7005
0.6281 0.0608 0.1482
0.6281 0.4392 0.1482
0.6431 0.7500 0.5293
0.8569 0.2500 0.0293
0.8719 0.5608 0.6482
0.8719 0.9392 0.6482
0.8736 0.7500 0.2005
```